No. 1
The following is a calculated powder XRD pattern of AcTb4Dy2. It was derived from DFT lattice parameters and positions (PBE), using Cu Ka.
Lines closer than 0.1° are merged.

Crystal structure
```
data_AcTb4Dy2
_cell_length_a 7.1554
_cell_length_b 8.6983
_cell_length_c 8.9971
_cell_angle_alpha 114.89
_cell_angle_beta 101.58
_cell_angle_gamma 101.68
_symmetry_space_group_name_H-M 'P 1'
_symmetry_Int_Tables_number 1
loop_
_symmetry_equiv_pos_as_xyz
'x,y,z'
loop_
_atom_site_label
_atom_site_type_symbol
_atom_site_fract_x
_atom_site_fract_y
_atom_site_fract_z
Ac1 Ac 0.0000 0.0000 0.0000
Ac2 Ac 0.0836 0.7502 0.5645
Tb1 Tb 0.1974 0.3182 0.4571
Tb2 Tb 0.3016 0.8785 0.2855
Tb3 Tb 0.3923 0.4347 0.1193
Tb4 Tb 0.4966 0.9912 0.9896
Tb5 Tb 0.6075 0.5829 0.8488
Tb6 Tb 0.6918 0.3156 0.4455
Tb7 Tb 0.8861 0.4322 0.1074
Tb8 Tb 0.9689 0.1654 0.7074
Dy1 Dy 0.1147 0.5848 0.8570
Dy2 Dy 0.4762 0.1671 0.7157
Dy3 Dy 0.5875 0.7589 0.5743
Dy4 Dy 0.7832 0.8714 0.2795
```

Peak list (10 most intense, 10 to 90 degrees two-theta, sorted by position)
two_theta  d/Å  intensity  (hkl)
29.7  3.013  37.8  2 -2 0
30.8  2.903  100.0  0 1 -3
31.2  2.865  49.4  0 2 1
32.1  2.791  46.6  0 3 -2
32.6  2.744  43.3  2 0 1
41.2  2.192  13.9  -2 1 3
51.1  1.789  13.2  -4 1 1
57.1  1.613  13.1  2 -5 3
58.3  1.583  10.3  2 2 2
60.8  1.523  14.7  4 0 -4

---

No. 2
The following is a calculated powder XRD pattern of TbS2O6F2. It was derived from DFT lattice parameters and positions (PBE), using Cu Ka.
Lines closer than 0.1° are merged.

Crystal structure
```
data_TbS2O6F2
_cell_length_a 5.7580
_cell_length_b 5.7580
_cell_length_c 6.0348
_cell_angle_alpha 90.00
_cell_angle_beta 90.00
_cell_angle_gamma 120.00
_symmetry_space_group_name_H-M 'P -3 m 1'
_symmetry_Int_Tables_number 164
_symmetry_space_group_name_Hall '-P 3 2"'
loop_
_atom_site_label
_atom_site_type_symbol
_atom_site_fract_x
_atom_site_fract_y
_atom_site_fract_z
Tb1 Tb 0.0000 0.0000 0.0000
S1 S 0.3333 0.6667 0.7232
O1 O 0.1916 0.3832 0.7973
F1 F 0.3333 0.6667 0.4248
```

Peak list (10 most intense, 10 to 90 degrees two-theta, sorted by position)
two_theta  d/Å  intensity  (hkl)
14.7  6.035  23.0  0 0 1
17.8  4.987  22.2  1 0 0
23.1  3.844  100.0  1 0 1
31.1  2.879  33.5  1 1 0
34.5  2.598  9.5  1 1 1
34.7  2.582  28.5  1 0 2
39.1  2.304  18.4  2 0 1
47.3  1.922  16.7  2 0 2
48.8  1.866  10.5  0 1 3
50.7  1.799  22.9  2 1 1

---

No. 3
The following is a calculated powder XRD pattern of Ce2PmHg2. It was derived from DFT lattice parameters and positions (PBE), using Cu Ka.
Lines closer than 0.1° are merged.

Crystal structure
```
data_Ce2PmHg2
_cell_length_a 5.9292
_cell_length_b 6.2296
_cell_length_c 8.0680
_cell_angle_alpha 90.00
_cell_angle_beta 109.00
_cell_angle_gamma 90.00
_symmetry_space_group_name_H-M 'C 1 2/m 1'
_symmetry_Int_Tables_number 12
loop_
_symmetry_equiv_pos_as_xyz
'x,y,z'
'-x,-y,-z'
'-x,y,-z'
'x,-y,z'
'x+1/2,y+1/2,z'
'-x+1/2,-y+1/2,-z'
'-x+1/2,y+1/2,-z'
'x+1/2,-y+1/2,z'
loop_
_atom_site_label
_atom_site_type_symbol
_atom_site_fract_x
_atom_site_fract_y
_atom_site_fract_z
Ce1 Ce 0.0000 0.2180 0.0000
Pm1 Pm 0.0000 0.0000 0.5000
Hg1 Hg 0.0847 0.5000 0.6884
```

Peak list (10 most intense, 10 to 90 degrees two-theta, sorted by position)
two_theta  d/Å  intensity  (hkl)
21.7  4.098  39.5  1 1 -1
27.6  3.230  41.3  1 1 -2
31.0  2.884  100.0  0 2 1
31.9  2.803  57.9  2 0 0
32.9  2.721  39.2  2 0 -2
35.5  2.526  79.4  1 1 2
36.7  2.450  50.0  1 1 -3
37.3  2.413  31.3  0 2 2
42.1  2.146  91.3  2 2 -1
56.2  1.638  31.3  1 3 -3